Nd2GaNi5Ir2: computed XRD peak list (λ = 1.5418 Å (Cu Kα)), based on a PBE-relaxed structure.
Peak positions follow from Bragg's law for the DFT cell and can differ from measured ones.

Principal peaks in the range 2θ = 10–90°, sorted by position:
two_theta  I/Imax  hkl
13.2  22  1 1 0
24.4  22  0 0 1
38.9  100  3 1 1
40.4  26  3 3 0
42.4  36  3 2 1
45.7  25  4 0 1

Atomic structure:
Lattice parameters (Å, degrees): 9.473 9.473 3.648 90.00 90.00 90.00
Atoms (fractional coordinates):
Nd (0.171, 0.329, 0.000)
Nd (0.329, 0.829, 0.000)
Nd (0.671, 0.171, 0.000)
Nd (0.829, 0.671, 0.000)
Ga (0.000, 0.000, 0.000)
Ga (0.500, 0.500, 0.000)
Ni (0.000, 0.500, 0.500)
Ni (0.059, 0.812, 0.500)
Ni (0.188, 0.059, 0.500)
Ni (0.312, 0.559, 0.500)
Ni (0.441, 0.312, 0.500)
Ni (0.500, 0.000, 0.500)
Ni (0.559, 0.688, 0.500)
Ni (0.688, 0.441, 0.500)
Ni (0.812, 0.941, 0.500)
Ni (0.941, 0.188, 0.500)
Ir (0.129, 0.629, 0.000)
Ir (0.371, 0.129, 0.000)
Ir (0.629, 0.871, 0.000)
Ir (0.871, 0.371, 0.000)